Structure and simulated powder XRD pattern of BaHoMg17 (a DFT-relaxed cell (GGA-PBE, Alexandria); λ = 1.5418 Å (Cu Kα)).

Atomic structure:
Cell: 7.9003 7.9003 7.9003 Å, 82.45 82.45 82.45°
Atoms (fractional coordinates):
1 Ba 0.0000 0.0000 0.0000
2 Ho 0.6640 0.6640 0.6640
3 Mg 0.0345 0.3410 0.6331
4 Mg 0.0345 0.6331 0.3410
5 Mg 0.1918 0.6819 0.6819
6 Mg 0.2412 0.2412 0.2412
7 Mg 0.3335 0.3335 0.8392
8 Mg 0.3335 0.8392 0.3335
9 Mg 0.3410 0.0345 0.6331
10 Mg 0.3410 0.6331 0.0345
11 Mg 0.4380 0.4380 0.4380
12 Mg 0.5058 0.9795 0.9795
13 Mg 0.6331 0.0345 0.3410
14 Mg 0.6331 0.3410 0.0345
15 Mg 0.6819 0.1918 0.6819
16 Mg 0.6819 0.6819 0.1918
17 Mg 0.8392 0.3335 0.3335
18 Mg 0.9795 0.5058 0.9795
19 Mg 0.9795 0.9795 0.5058

Principal peaks in the range 2θ from 10° to 80°, in order of rising 2θ:
2θ = 11.38°, rel. 24.5
2θ = 15.14°, rel. 22.6
2θ = 17.03°, rel. 43.4
2θ = 24.37°, rel. 80.7
2θ = 29.72°, rel. 50.6
2θ = 34.45°, rel. 54.3
2θ = 34.59°, rel. 100.0
2θ = 35.01°, rel. 25.1
2θ = 49.62°, rel. 27.4
2θ = 49.94°, rel. 21.9
2θ = 55.94°, rel. 20.3
2θ = 62.53°, rel. 19.7